The following is a theoretical X-ray powder pattern of CaMoIrO6. It was derived from a structure optimized by DFT (GGA+U), using copper Kα.
Kinematic intensities with the Lorentz-polarization factor, no thermal factor.

Cell and atoms:
```
data_CaMoIrO6
_chemical_formula_sum 'Ca2 Mo2 Ir2 O12'
_cell_length_a 5.250
_cell_length_b 5.250
_cell_length_c 8.942
_cell_angle_alpha 90.00
_cell_angle_beta 90.00
_cell_angle_gamma 120.00
_symmetry_space_group_name_H-M 'P 1'
_symmetry_Int_Tables_number 1
loop_
_symmetry_equiv_pos_as_xyz
'x,y,z'
loop_
_atom_site_label
_atom_site_type_symbol
_atom_site_fract_x
_atom_site_fract_y
_atom_site_fract_z
Ca1 Ca 0.333 0.667 0.250
Ca2 Ca 0.667 0.333 0.750
Mo1 Mo 0.000 0.000 0.000
Mo2 Mo 0.000 0.000 0.500
Ir1 Ir 0.333 0.667 0.750
Ir2 Ir 0.667 0.333 0.250
O1 O 0.047 0.336 0.619
O2 O 0.047 0.711 0.881
O3 O 0.289 0.336 0.881
O4 O 0.289 0.953 0.619
O5 O 0.336 0.047 0.119
O6 O 0.336 0.289 0.381
O7 O 0.664 0.711 0.619
O8 O 0.664 0.953 0.881
O9 O 0.711 0.047 0.381
O10 O 0.711 0.664 0.119
O11 O 0.953 0.289 0.119
O12 O 0.953 0.664 0.381
```

Top 10 peaks for 2θ from 10° to 80°, low angle first:
2θ (°)  intensity  h k l
19.86  13  0 0 2
21.93  71  1 0 1
27.99  100  1 0 2
34.16  51  1 1 0
36.03  15  1 0 3
39.82  21  1 1 2
44.72  27  2 0 2
53.87  47  2 -1 4
57.45  26  3 -1 2
61.15  18  3 0 0